This entry pairs a crystal structure of LiGeI with its computed X-ray diffraction stick pattern. Radiation: CuKα. Structure: a crystal structure in Alexandria, relaxed with PBE.
Intensities are scaled so that the largest is 100.

Top 10 peaks for 10° ≤ 2θ ≤ 90°, sorted by position:
d [Å]	I (rel.)
6.392	28
4.261	100
3.539	54
3.519	55
3.101	26
3.078	24
2.736	41
2.691	25
2.679	23
2.302	48

```
6
Lattice="2.7467 -2.7360 0.0000 2.7467 2.7360 0.0000 -2.6079 0.0000 12.7840" Properties=species:S:1:pos:R:3 pbc="T T T"
Li 0.0666 0.0000 5.2975
Li 2.8189 0.0000 7.4865
Ge 1.3331 0.0000 0.0029
Ge 1.5524 0.0000 12.7811
I 0.0707 0.0000 8.1377
I 2.8148 0.0000 4.6463
```


This entry pairs a crystal structure of Na2LiGeI5 with its computed X-ray diffraction stick pattern. Radiation: CuKα. Structure: a crystal structure in Alexandria, relaxed with PBE.
Intensities are scaled so that the largest is 100.

Top 10 peaks for 10° ≤ 2θ ≤ 90°, sorted by position:
d [Å]	I (rel.)
8.468	50
3.873	47
3.657	29
3.574	53
3.439	100
3.149	31
3.030	29
2.669	40
2.587	27
2.226	26

```
18
Lattice="2.2259 -9.6147 0.0000 2.2259 9.6147 0.0000 0.0000 0.0000 16.9352" Properties=species:S:1:pos:R:3 pbc="T T T"
Na 2.2259 8.7738 8.4676
Na 2.2259 8.1659 12.9790
Na 2.2259 -8.1659 4.5114
Na 2.2259 -8.7738 0.0000
Li 2.2259 2.6221 8.6053
Li 2.2259 -2.6221 0.1377
Ge 2.2259 4.3975 2.0388
Ge 2.2259 -4.3975 10.5064
I 2.2259 7.3956 1.7181
I 2.2259 5.4236 8.3122
I 2.2259 5.0436 12.5370
I 2.2259 1.3638 2.2292
I 2.2259 0.6180 6.6427
I 2.2259 -0.6180 15.1103
I 2.2259 -1.3638 10.6968
I 2.2259 -5.0436 4.0694
I 2.2259 -5.4236 16.7798
I 2.2259 -7.3956 10.1856
```


This entry pairs a crystal structure of LiTaGeRuI with its computed X-ray diffraction stick pattern. Radiation: CuKα. Structure: a crystal structure in Alexandria, relaxed with PBE.
Intensities are scaled so that the largest is 100.

Top 10 peaks for 10° ≤ 2θ ≤ 90°, sorted by position:
d [Å]	I (rel.)
8.810	100
4.405	35
3.182	46
2.413	70
2.226	84
2.116	20
1.850	28
1.706	24
1.354	34
1.254	20

```
5
Lattice="3.4119 0.0000 0.0000 0.0000 3.4119 0.0000 0.0000 0.0000 8.8102" Properties=species:S:1:pos:R:3 pbc="T T T"
Li 0.0000 0.0000 0.0000
Ta 0.0000 0.0000 3.3798
Ge 1.7060 1.7060 1.8664
Ru 1.7060 1.7060 4.5002
I 1.7060 1.7060 7.2043
```


This entry pairs a crystal structure of LiTaGeRuI with its computed X-ray diffraction stick pattern. Radiation: CuKα. Structure: a crystal structure in Alexandria, relaxed with PBE.
Intensities are scaled so that the largest is 100.

Top 10 peaks for 10° ≤ 2θ ≤ 90°, sorted by position:
d [Å]	I (rel.)
7.606	100
3.803	48
3.635	52
3.504	59
2.441	28
2.255	63
2.126	69
2.047	23
1.856	39
1.547	19

```
5
Lattice="2.1257 1.2273 7.6060 -2.1257 1.2273 7.6060 0.0000 -2.4545 7.6060" Properties=species:S:1:pos:R:3 pbc="T T T"
Li 0.0000 0.0000 0.0000
Ta 0.0000 0.0000 19.7538
Ge 0.0000 0.0000 13.4065
Ru 0.0000 0.0000 5.4390
I 0.0000 0.0000 16.9778
```